This entry pairs a crystal structure of Rb5OsO4F2 with its computed powder diffraction line list. Radiation: Cu Kα X-rays. Structure: a crystal structure in Alexandria, relaxed with PBE.
Peak positions follow from Bragg's law for the DFT cell and can differ from measured ones.

Peak list (10 most intense, 2θ from 5° to 70°, sorted by position)
| 2θ (°) | intensity |
| --- | --- |
| 15.39 | 25 |
| 26.18 | 46 |
| 27.81 | 100 |
| 28.08 | 96 |
| 28.42 | 50 |
| 39.03 | 65 |
| 47.21 | 20 |
| 47.38 | 27 |
| 50.28 | 33 |
| 55.68 | 25 |

Structural model:
Cell lengths 7.7265, 6.3756, 6.3756 Å; angles 115.46, 90.00, 90.00 degrees
Element x y z (fractional)
Rb 0.0000 0.0000 0.0000
Rb 0.2612 0.2986 0.6621
Rb 0.2612 0.6621 0.2986
Rb 0.7388 0.2986 0.6621
Rb 0.7388 0.6621 0.2986
Os 0.5000 0.9833 0.9833
O 0.3373 0.1953 0.1953
O 0.5000 0.6928 0.9690
O 0.5000 0.9690 0.6928
O 0.6627 0.1953 0.1953
F 0.0000 0.5458 0.9621
F 0.0000 0.9621 0.5458

---

This entry pairs a crystal structure of Rb6Ga3Br14 with its computed powder diffraction line list. Radiation: Cu Kα X-rays. Structure: a crystal structure in Alexandria, relaxed with PBE.
Peak positions follow from Bragg's law for the DFT cell and can differ from measured ones.

Peak list (10 most intense, 2θ from 5° to 70°, sorted by position)
| 2θ (°) | intensity |
| --- | --- |
| 15.57 | 48 |
| 20.99 | 41 |
| 21.45 | 41 |
| 25.32 | 98 |
| 27.85 | 98 |
| 28.01 | 66 |
| 29.38 | 100 |
| 30.34 | 47 |
| 31.44 | 55 |
| 32.37 | 79 |

Structural model:
Cell lengths 12.6562, 12.6562, 6.6584 Å; angles 90.00, 90.00, 120.00 degrees
Element x y z (fractional)
Rb 0.0077 0.5621 0.0000
Rb 0.3247 0.1058 0.4676
Rb 0.4379 0.4457 0.0000
Rb 0.5543 0.9923 0.0000
Rb 0.7811 0.6753 0.4676
Rb 0.8942 0.2189 0.4676
Ga 0.0000 0.0000 0.8850
Ga 0.3333 0.6667 0.4102
Ga 0.6667 0.3333 0.7390
Br 0.0000 0.0000 0.2401
Br 0.0725 0.8717 0.7630
Br 0.1283 0.2008 0.7630
Br 0.2048 0.4666 0.2839
Br 0.2618 0.7952 0.2839
Br 0.3333 0.6667 0.7635
Br 0.4457 0.1845 0.9642
Br 0.5196 0.4061 0.5147
Br 0.5334 0.7382 0.2839
Br 0.5939 0.1135 0.5147
Br 0.7388 0.5543 0.9642
Br 0.7992 0.9275 0.7630
Br 0.8155 0.2612 0.9642
Br 0.8865 0.4804 0.5147

---

This entry pairs a crystal structure of Nb2Tl2CuSe6 with its computed powder diffraction line list. Radiation: Cu Kα X-rays. Structure: a crystal structure in Alexandria, relaxed with PBE.
Peak positions follow from Bragg's law for the DFT cell and can differ from measured ones.

Peak list (10 most intense, 2θ from 5° to 70°, sorted by position)
| 2θ (°) | intensity |
| --- | --- |
| 16.66 | 18 |
| 17.42 | 20 |
| 31.31 | 100 |
| 31.71 | 44 |
| 32.44 | 15 |
| 32.57 | 15 |
| 40.51 | 31 |
| 43.57 | 17 |
| 46.13 | 15 |
| 49.47 | 29 |

Structural model:
Cell lengths 6.6831, 6.6831, 8.1731 Å; angles 98.29, 98.29, 124.10 degrees
Element x y z (fractional)
Nb 0.1855 0.8145 0.0000
Nb 0.8145 0.1855 0.0000
Tl 0.3497 0.6503 0.5000
Tl 0.6503 0.3497 0.5000
Cu 0.5000 0.5000 0.0000
Se 0.0782 0.4192 0.7969
Se 0.2373 0.2373 0.1657
Se 0.4192 0.0782 0.7969
Se 0.5808 0.9218 0.2031
Se 0.7627 0.7627 0.8343
Se 0.9218 0.5808 0.2031

---

This entry pairs a crystal structure of Dy3Ho2Sc3 with its computed powder diffraction line list. Radiation: Cu Kα X-rays. Structure: a crystal structure in Alexandria, relaxed with PBE.
Peak positions follow from Bragg's law for the DFT cell and can differ from measured ones.

Peak list (10 most intense, 2θ from 5° to 70°, sorted by position)
| 2θ (°) | intensity |
| --- | --- |
| 19.21 | 20 |
| 26.02 | 14 |
| 30.92 | 31 |
| 32.26 | 45 |
| 34.03 | 100 |
| 34.14 | 23 |
| 34.32 | 21 |
| 38.75 | 20 |
| 53.27 | 22 |
| 58.59 | 14 |

Structural model:
Cell lengths 22.9461, 3.4659, 5.9424 Å; angles 90.00, 104.65, 90.00 degrees
Element x y z (fractional)
Dy 0.0000 0.0000 0.0000
Dy 0.1230 0.0000 0.4641
Dy 0.3770 0.5000 0.5359
Dy 0.5000 0.5000 0.0000
Dy 0.6230 0.5000 0.4641
Dy 0.8770 0.0000 0.5359
Ho 0.2472 0.0000 0.2435
Ho 0.2528 0.5000 0.7565
Ho 0.7472 0.5000 0.2435
Ho 0.7528 0.0000 0.7565
Sc 0.0000 0.5000 0.5000
Sc 0.1236 0.5000 0.9590
Sc 0.3764 0.0000 0.0410
Sc 0.5000 0.0000 0.5000
Sc 0.6236 0.0000 0.9590
Sc 0.8764 0.5000 0.0410

---

This entry pairs a crystal structure of Dy2PaReC4 with its computed powder diffraction line list. Radiation: Cu Kα X-rays. Structure: a crystal structure in Alexandria, relaxed with PBE.
Peak positions follow from Bragg's law for the DFT cell and can differ from measured ones.

Peak list (10 most intense, 2θ from 5° to 70°, sorted by position)
| 2θ (°) | intensity |
| --- | --- |
| 26.55 | 23 |
| 29.23 | 48 |
| 30.17 | 40 |
| 30.71 | 100 |
| 31.07 | 21 |
| 35.32 | 28 |
| 37.61 | 73 |
| 42.51 | 20 |
| 51.32 | 19 |
| 51.92 | 18 |

Structural model:
Cell lengths 6.1700, 6.1700, 12.2220 Å; angles 90.00, 90.00, 147.54 degrees
Element x y z (fractional)
Dy 0.1308 0.8692 0.5398
Dy 0.1308 0.8692 0.9602
Dy 0.8692 0.1308 0.0398
Dy 0.8692 0.1308 0.4602
Pa 0.4047 0.5953 0.7500
Pa 0.5953 0.4047 0.2500
Re 0.3361 0.6639 0.2500
Re 0.6639 0.3361 0.7500
C 0.0623 0.9377 0.7500
C 0.2283 0.7717 0.1344
C 0.2283 0.7717 0.3656
C 0.5000 0.5000 0.0000
C 0.5000 0.5000 0.5000
C 0.7717 0.2283 0.6344
C 0.7717 0.2283 0.8656
C 0.9377 0.0623 0.2500

---

This entry pairs a crystal structure of SrTl3Ag with its computed powder diffraction line list. Radiation: Cu Kα X-rays. Structure: a crystal structure in Alexandria, relaxed with PBE.
Peak positions follow from Bragg's law for the DFT cell and can differ from measured ones.

Peak list (10 most intense, 2θ from 5° to 70°, sorted by position)
| 2θ (°) | intensity |
| --- | --- |
| 13.43 | 33 |
| 19.72 | 31 |
| 27.54 | 27 |
| 29.63 | 100 |
| 29.75 | 34 |
| 37.56 | 69 |
| 38.06 | 53 |
| 38.19 | 17 |
| 38.99 | 30 |
| 55.20 | 16 |

Structural model:
Cell lengths 6.7557, 6.7897, 7.4009 Å; angles 90.00, 117.01, 90.00 degrees
Element x y z (fractional)
Sr 0.0000 0.0000 0.0000
Sr 0.5000 0.5000 0.0000
Tl 0.0180 0.2505 0.5374
Tl 0.0180 0.7495 0.5374
Tl 0.1131 0.5000 0.2248
Tl 0.5180 0.2495 0.5374
Tl 0.5180 0.7505 0.5374
Tl 0.6131 0.0000 0.2248
Ag 0.3991 0.0000 0.8026
Ag 0.8991 0.5000 0.8026